(1)
Computed X-ray powder pattern of V4Ga for a wavelength of 1.5418 Å, from a DFT-relaxed cell (PBE, Alexandria).
No peak broadening, texture or thermal motion is included.

Crystal structure
```
data_V4Ga
_chemical_formula_sum 'V8 Ga2'
_symmetry_space_group_name_H-M 'P m n a'
_symmetry_Int_Tables_number 53
_cell_length_a 5.8721
_cell_length_b 6.6874
_cell_length_c 3.9938
_cell_angle_alpha 90.00
_cell_angle_beta 90.00
_cell_angle_gamma 90.00
loop_
_symmetry_equiv_pos_as_xyz
'x,y,z'
'-x,-y,-z'
'-x+1/2,-y,z+1/2'
'x+1/2,y,-z+1/2'
'x,-y,-z'
'-x,y,z'
'-x+1/2,y,-z+1/2'
'x+1/2,-y,z+1/2'
loop_
_atom_site_label
_atom_site_type_symbol
_atom_site_fract_x
_atom_site_fract_y
_atom_site_fract_z
_atom_site_occupancy
V1 V 0.0000 0.1443 0.2465 1
V2 V 0.2500 0.1785 0.7500 1
Ga1 Ga 0.0000 0.5000 0.5000 1
```

Largest 10 diffraction maxima, low angle first, 2θ = 5–70°:
| (hkl) | 2θ/deg | I_rel |
| --- | --- | --- |
| 0 1 0 | 13.24 | 129 |
| 1 0 1 | 27.00 | 167 |
| 1 1 1 | 30.18 | 278 |
| 1 2 1 | 38.31 | 142 |
| 0 3 0 | 40.45 | 1000 |
| 2 2 0 | 40.90 | 133 |
| 2 2 1 | 47.06 | 417 |
| 0 1 2 | 47.52 | 214 |
| 0 2 2 | 53.44 | 118 |
| 4 0 0 | 63.36 | 98 |

***

(2)
Computed X-ray powder pattern of V3Ga2 for a wavelength of 1.5418 Å, from a DFT-relaxed cell (PBE, Alexandria).
No peak broadening, texture or thermal motion is included.

Crystal structure
```
data_V3Ga2
_chemical_formula_sum 'V12 Ga8'
_symmetry_space_group_name_H-M 'P n m a'
_symmetry_Int_Tables_number 62
_cell_length_a 9.9203
_cell_length_b 3.1702
_cell_length_c 9.3699
_cell_angle_alpha 90.00
_cell_angle_beta 90.00
_cell_angle_gamma 90.00
loop_
_symmetry_equiv_pos_as_xyz
'x,y,z'
'-x,-y,-z'
'-x+1/2,-y,z+1/2'
'x+1/2,y,-z+1/2'
'x+1/2,-y+1/2,-z+1/2'
'-x+1/2,y+1/2,z+1/2'
'-x,y+1/2,-z'
'x,-y+1/2,z'
loop_
_atom_site_label
_atom_site_type_symbol
_atom_site_fract_x
_atom_site_fract_y
_atom_site_fract_z
_atom_site_occupancy
V1 V 0.0309 0.2500 0.0970 1
V2 V 0.0706 0.7500 0.5822 1
V3 V 0.1436 0.2500 0.7701 1
Ga1 Ga 0.1063 0.7500 0.3024 1
Ga2 Ga 0.2297 0.7500 0.9960 1
```

Largest 10 diffraction maxima, low angle first, 2θ = 5–70°:
| (hkl) | 2θ/deg | I_rel |
| --- | --- | --- |
| 0 1 1 | 29.75 | 112 |
| 1 0 4 | 39.53 | 82 |
| 0 1 3 | 40.57 | 1000 |
| 4 0 2 | 41.18 | 309 |
| 1 1 3 | 41.60 | 353 |
| 2 0 4 | 42.69 | 161 |
| 2 1 3 | 44.64 | 83 |
| 5 0 1 | 46.80 | 120 |
| 3 0 4 | 47.56 | 364 |
| 0 2 0 | 58.20 | 167 |

***

(3)
Computed X-ray powder pattern of V7Ga3 for a wavelength of 1.5418 Å, from a DFT-relaxed cell (PBE, Alexandria).
No peak broadening, texture or thermal motion is included.

Crystal structure
```
data_V7Ga3
_chemical_formula_sum 'V14 Ga6'
_symmetry_space_group_name_H-M 'C 1 2/m 1'
_symmetry_Int_Tables_number 12
_cell_length_a 13.5347
_cell_length_b 4.1342
_cell_length_c 5.2401
_cell_angle_alpha 90.00
_cell_angle_beta 110.23
_cell_angle_gamma 90.00
loop_
_symmetry_equiv_pos_as_xyz
'x,y,z'
'-x,-y,-z'
'-x,y,-z'
'x,-y,z'
'x+1/2,y+1/2,z'
'-x+1/2,-y+1/2,-z'
'-x+1/2,y+1/2,-z'
'x+1/2,-y+1/2,z'
loop_
_atom_site_label
_atom_site_type_symbol
_atom_site_fract_x
_atom_site_fract_y
_atom_site_fract_z
_atom_site_occupancy
V1 V 0.0000 0.0000 0.0000 1
V2 V 0.1013 0.5000 0.3866 1
V3 V 0.1012 0.5000 0.8880 1
V4 V 0.1965 0.0000 0.7678 1
Ga1 Ga 0.0000 0.0000 0.5000 1
Ga2 Ga 0.1996 0.0000 0.2565 1
```

Largest 10 diffraction maxima, low angle first, 2θ = 5–70°:
| (hkl) | 2θ/deg | I_rel |
| --- | --- | --- |
| 1 1 0 | 22.62 | 12 |
| 1 1 1 | 30.60 | 16 |
| 3 1 -1 | 31.30 | 13 |
| 2 0 -2 | 34.26 | 19 |
| 1 1 -2 | 41.17 | 19 |
| 5 1 0 | 41.73 | 1000 |
| 0 2 0 | 43.82 | 428 |
| 3 1 2 | 53.95 | 13 |
| 8 0 -2 | 57.16 | 88 |
| 2 2 2 | 63.70 | 121 |

***

(4)
Computed X-ray powder pattern of V6Ga7 for a wavelength of 1.5418 Å, from a DFT-relaxed cell (PBE, Alexandria).
No peak broadening, texture or thermal motion is included.

Crystal structure
```
data_V6Ga7
_chemical_formula_sum 'V48 Ga56'
_symmetry_space_group_name_H-M 'F m m 2'
_symmetry_Int_Tables_number 42
_symmetry_space_group_name_Hall 'F 2 -2'
_cell_length_a 12.8520
_cell_length_b 12.9512
_cell_length_c 9.1344
_cell_angle_alpha 90.00
_cell_angle_beta 90.00
_cell_angle_gamma 90.00
loop_
_atom_site_label
_atom_site_type_symbol
_atom_site_fract_x
_atom_site_fract_y
_atom_site_fract_z
_atom_site_occupancy
V1 V 0.0000 0.0000 0.0000 1
V2 V 0.0000 0.0000 0.2942 1
V3 V 0.0000 0.1075 0.5383 1
V4 V 0.0000 0.1752 0.8186 1
V5 V 0.1669 0.0000 0.4717 1
V6 V 0.1759 0.1799 0.6437 1
Ga1 Ga 0.0000 0.1883 0.1116 1
Ga2 Ga 0.1030 0.0000 0.7444 1
Ga3 Ga 0.1412 0.1708 0.3319 1
Ga4 Ga 0.1730 0.1420 0.9588 1
Ga5 Ga 0.1846 0.0000 0.1703 1
```

Largest 10 diffraction maxima, low angle first, 2θ = 5–70°:
| (hkl) | 2θ/deg | I_rel |
| --- | --- | --- |
| 0 4 2 | 33.94 | 92 |
| 4 0 2 | 34.12 | 69 |
| 1 3 3 | 36.78 | 73 |
| 0 6 0 | 41.89 | 385 |
| 3 3 3 | 41.99 | 1000 |
| 6 0 0 | 42.14 | 374 |
| 1 5 3 | 46.56 | 54 |
| 6 0 2 | 46.80 | 54 |
| 4 6 0 | 51.00 | 89 |
| 6 6 0 | 60.90 | 90 |

***

(5)
Computed X-ray powder pattern of V3Ga2 for a wavelength of 1.5418 Å, from a DFT-relaxed cell (PBE, Alexandria).
No peak broadening, texture or thermal motion is included.

Crystal structure
```
data_V3Ga2
_chemical_formula_sum 'V12 Ga8'
_symmetry_space_group_name_H-M 'P 41 3 2'
_symmetry_Int_Tables_number 213
_symmetry_space_group_name_Hall 'P 4bd 2ab 3'
_cell_length_a 6.5376
_cell_length_b 6.5376
_cell_length_c 6.5376
_cell_angle_alpha 90.00
_cell_angle_beta 90.00
_cell_angle_gamma 90.00
loop_
_atom_site_label
_atom_site_type_symbol
_atom_site_fract_x
_atom_site_fract_y
_atom_site_fract_z
_atom_site_occupancy
V1 V 0.0413 0.1250 0.7913 1
Ga1 Ga 0.0640 0.9360 0.4360 1
```

Largest 10 diffraction maxima, low angle first, 2θ = 5–70°:
| (hkl) | 2θ/deg | I_rel |
| --- | --- | --- |
| 1 1 0 | 19.20 | 89 |
| 1 1 1 | 23.57 | 89 |
| 2 2 0 | 38.97 | 30 |
| 2 2 1 | 41.44 | 1000 |
| 3 1 0 | 43.79 | 560 |
| 3 1 1 | 46.05 | 228 |
| 3 2 1 | 52.36 | 146 |
| 4 1 0 | 58.18 | 54 |
| 4 1 1 | 60.04 | 43 |
| 4 2 0 | 63.65 | 47 |

***

(6)
Computed X-ray powder pattern of V6Ga7 for a wavelength of 1.5418 Å, from a DFT-relaxed cell (PBE, Alexandria).
No peak broadening, texture or thermal motion is included.

Crystal structure
```
data_V6Ga7
_chemical_formula_sum 'V24 Ga28'
_symmetry_space_group_name_H-M 'C 1 m 1'
_symmetry_Int_Tables_number 8
_cell_length_a 9.1973
_cell_length_b 12.9199
_cell_length_c 7.8551
_cell_angle_alpha 90.00
_cell_angle_beta 124.49
_cell_angle_gamma 90.00
loop_
_symmetry_equiv_pos_as_xyz
'x,y,z'
'x,-y,z'
'x+1/2,y+1/2,z'
'x+1/2,-y+1/2,z'
loop_
_atom_site_label
_atom_site_type_symbol
_atom_site_fract_x
_atom_site_fract_y
_atom_site_fract_z
_atom_site_occupancy
V1 V 0.0000 0.0000 0.0000 1
V2 V 0.0061 0.0000 0.6644 1
V3 V 0.1486 0.5000 0.3150 1
V4 V 0.1598 0.5000 0.8611 1
V5 V 0.2541 0.3932 0.6479 1
V6 V 0.3216 0.0000 0.6789 1
V7 V 0.3318 0.3304 0.0103 1
V8 V 0.4426 0.0000 0.4388 1
V9 V 0.4855 0.1698 0.6496 1
Ga1 Ga 0.0373 0.3671 0.0066 1
Ga2 Ga 0.0873 0.1753 0.9265 1
Ga3 Ga 0.1721 0.1288 0.3207 1
Ga4 Ga 0.2079 0.1863 0.6859 1
Ga5 Ga 0.3022 0.0000 0.0280 1
Ga6 Ga 0.3384 0.3298 0.3943 1
Ga7 Ga 0.4234 0.5000 0.2724 1
Ga8 Ga 0.4758 0.1819 0.2925 1
```

Largest 10 diffraction maxima, low angle first, 2θ = 5–70°:
| (hkl) | 2θ/deg | I_rel |
| --- | --- | --- |
| 2 0 1 | 33.48 | 113 |
| 2 4 -1 | 33.92 | 158 |
| 2 4 0 | 36.53 | 87 |
| 2 2 -3 | 37.04 | 80 |
| 3 3 0 | 41.42 | 859 |
| 1 3 2 | 41.69 | 546 |
| 0 0 3 | 41.83 | 622 |
| 0 6 0 | 41.99 | 693 |
| 3 3 -3 | 42.14 | 1000 |
| 0 6 3 | 60.77 | 113 |